This entry pairs a crystal structure of Tb6Dy3Y with its calculated X-ray powder pattern. Radiation: Cu Kα. Structure: a DFT-relaxed cell (PBE, Alexandria).

```
Tb6Dy3Y
1.0
4.810 -10.530 0.000
4.810 10.530 0.000
0.000 0.000 6.373
Tb Dy Y
12 6 2
direct
0.014 0.986 0.500 Tb
0.106 0.544 0.013 Tb
0.258 0.379 0.255 Tb
0.302 0.698 0.478 Tb
0.379 0.258 0.755 Tb
0.456 0.894 0.013 Tb
0.544 0.106 0.513 Tb
0.621 0.742 0.255 Tb
0.698 0.302 0.978 Tb
0.742 0.621 0.755 Tb
0.894 0.456 0.513 Tb
0.986 0.014 0.000 Tb
0.042 0.296 0.674 Dy
0.296 0.042 0.174 Dy
0.420 0.580 0.779 Dy
0.580 0.420 0.279 Dy
0.704 0.958 0.674 Dy
0.958 0.704 0.174 Dy
0.160 0.840 0.699 Y
0.840 0.160 0.199 Y
```

Top 10 peaks for 2θ from 5° to 70°, in order of falling intensity:
2θ = 31.5°, I = 1000; 2θ = 33.8°, I = 672; 2θ = 28.8°, I = 637; 2θ = 31.1°, I = 598; 2θ = 32.2°, I = 529; 2θ = 29.0°, I = 416; 2θ = 32.9°, I = 392; 2θ = 57.5°, I = 301; 2θ = 29.3°, I = 284; 2θ = 34.6°, I = 273